Structure and calculated powder X-ray diffraction pattern of BaMn2Fe4O11 (a cell relaxed with GGA+U; Cu Kα X-rays).
Neutral-atom scattering factors, no anomalous dispersion.

Most intense lines, 10 to 90 degrees two-theta, low angle first:
hkl	2θ (°)	I/Imax
1 1 -1	18.7	17
0 0 4	26.3	29
1 3 0	30.5	52
0 2 4	31.7	92
2 0 -2	33.3	100
2 2 2	37.8	50
2 2 3	40.8	39
2 2 -6	54.3	62
2 4 4	54.9	29
3 3 -2	56.0	14
4 0 0	63.3	18
2 6 0	63.5	29

Cell and atoms:
```
data_BaMn2Fe4O11
_symmetry_space_group_name_H-M 'C 1 c 1'
_symmetry_Int_Tables_number 9
_symmetry_space_group_name_Hall 'C -2yc'
_cell_length_a 5.873
_cell_length_b 10.133
_cell_length_c 13.575
_cell_angle_alpha 90.00
_cell_angle_beta 90.01
_cell_angle_gamma 90.00
loop_
_atom_site_label
_atom_site_type_symbol
_atom_site_fract_x
_atom_site_fract_y
_atom_site_fract_z
Ba1 Ba 0.000 0.166 0.000
Mn1 Mn 0.000 0.001 0.749
Mn2 Mn 0.252 0.250 0.249
Fe1 Fe 0.005 0.498 0.104
Fe2 Fe 0.247 0.249 0.749
Fe3 Fe 0.492 0.003 0.396
Fe4 Fe 0.499 0.333 0.978
O1 O 0.010 0.163 0.327
O2 O 0.010 0.324 0.170
O3 O 0.221 0.425 0.990
O4 O 0.236 0.083 0.828
O5 O 0.239 0.087 0.172
O6 O 0.263 0.412 0.327
O7 O 0.268 0.418 0.669
O8 O 0.274 0.076 0.499
O9 O 0.489 0.336 0.173
O10 O 0.492 0.173 0.328
O11 O 0.499 0.149 0.994
```